For CaLaHg14, DFT lattice parameters and positions (PBE) gives the theoretical PXRD pattern in this record (a wavelength of 1.5418 Å).

Most intense lines, 10° ≤ 2θ ≤ 90°, by angle:
d (Å), 2θ/deg, I_rel
2.711, 33.04, 100
2.407, 37.37, 36
2.243, 40.21, 16
1.702, 53.87, 13
1.641, 56.06, 22
1.441, 64.67, 30
1.369, 68.56, 12
1.356, 69.32, 12

Lattice parameters (Å, degrees): 6.807 6.807 8.969 90.00 90.00 90.00
Fractional positions:
1 Ca 0.000 0.000 0.000
2 La 0.500 0.500 0.000
3 Hg 0.000 0.000 0.500
4 Hg 0.000 0.500 0.000
5 Hg 0.000 0.500 0.500
6 Hg 0.247 0.247 0.256
7 Hg 0.247 0.247 0.744
8 Hg 0.247 0.753 0.256
9 Hg 0.247 0.753 0.744
10 Hg 0.500 0.000 0.000
11 Hg 0.500 0.000 0.500
12 Hg 0.500 0.500 0.500
13 Hg 0.753 0.247 0.256
14 Hg 0.753 0.247 0.744
15 Hg 0.753 0.753 0.256
16 Hg 0.753 0.753 0.744